Entry 1:
For Pm5SnPb2, a crystal structure in Alexandria, relaxed with PBE gives the computed powder XRD pattern in this record (copper Kα).
Peak positions follow from Bragg's law for the DFT cell and can differ from measured ones.

```
Pm5SnPb2
1.0
-4.218 4.218 7.070
4.218 -4.218 7.070
4.218 4.218 -7.070
Pm Sn Pb
10 2 4
direct
0.000 0.000 0.000
0.008 0.508 0.820
0.188 0.008 0.500
0.312 0.812 0.820
0.492 0.312 0.500
0.500 0.500 0.000
0.508 0.688 0.500
0.688 0.188 0.180
0.812 0.992 0.500
0.992 0.492 0.180
0.250 0.250 0.000
0.750 0.750 0.000
0.141 0.359 0.500
0.359 0.859 0.218
0.641 0.141 0.782
0.859 0.641 0.500
```

The 12 most intense peaks (10 to 80 degrees two-theta), low angle first:
- 12.5 deg, d = 7.070 Å, rel. 10
- 30.3 deg, d = 2.946 Å, rel. 100
- 33.1 deg, d = 2.709 Å, rel. 11
- 33.6 deg, d = 2.668 Å, rel. 46
- 38.2 deg, d = 2.357 Å, rel. 11
- 39.8 deg, d = 2.263 Å, rel. 7
- 48.5 deg, d = 1.877 Å, rel. 12
- 51.7 deg, d = 1.767 Å, rel. 15
- 61.0 deg, d = 1.520 Å, rel. 9
- 62.5 deg, d = 1.487 Å, rel. 18
- 63.1 deg, d = 1.473 Å, rel. 9
- 64.2 deg, d = 1.450 Å, rel. 8

---

Entry 2:
For Pm6SnPb3, a crystal structure in Alexandria, relaxed with PBE gives the computed powder XRD pattern in this record (copper Kα).
Peak positions follow from Bragg's law for the DFT cell and can differ from measured ones.

```
Pm6SnPb3
1.0
11.320 0.000 0.000
0.000 4.612 0.000
-5.157 0.000 12.694
Pm Sn Pb
12 2 6
direct
0.020 0.250 0.359
0.076 0.250 0.896
0.246 0.750 0.332
0.339 0.750 0.111
0.341 0.750 0.786
0.395 0.250 0.554
0.605 0.750 0.446
0.659 0.250 0.214
0.661 0.250 0.889
0.754 0.250 0.668
0.924 0.750 0.104
0.980 0.750 0.641
0.431 0.250 0.302
0.569 0.750 0.698
0.133 0.250 0.147
0.180 0.750 0.534
0.389 0.250 0.959
0.611 0.750 0.041
0.820 0.250 0.466
0.867 0.750 0.853
```

The 12 most intense peaks (10 to 80 degrees two-theta), low angle first:
- 23.2 deg, d = 3.836 Å, rel. 27
- 28.3 deg, d = 3.148 Å, rel. 43
- 28.6 deg, d = 3.118 Å, rel. 21
- 32.1 deg, d = 2.786 Å, rel. 100
- 32.4 deg, d = 2.764 Å, rel. 71
- 32.7 deg, d = 2.737 Å, rel. 29
- 32.8 deg, d = 2.734 Å, rel. 30
- 33.0 deg, d = 2.712 Å, rel. 27
- 33.2 deg, d = 2.698 Å, rel. 74
- 34.3 deg, d = 2.617 Å, rel. 25
- 39.1 deg, d = 2.306 Å, rel. 64
- 66.6 deg, d = 1.404 Å, rel. 19

---

Entry 3:
For Pm2Sn3Pb, a crystal structure in Alexandria, relaxed with PBE gives the computed powder XRD pattern in this record (copper Kα).
Peak positions follow from Bragg's law for the DFT cell and can differ from measured ones.

```
Pm2Sn3Pb
1.0
4.468 0.000 0.000
0.000 16.093 0.000
0.000 0.000 4.704
Pm Sn Pb
4 6 2
direct
0.000 0.147 0.000
0.000 0.853 0.000
0.500 0.353 0.000
0.500 0.647 0.000
0.000 0.315 0.500
0.000 0.500 0.000
0.000 0.685 0.500
0.500 0.000 0.000
0.500 0.185 0.500
0.500 0.815 0.500
0.000 0.000 0.500
0.500 0.500 0.500
```

The 12 most intense peaks (10 to 80 degrees two-theta), low angle first:
- 29.2 deg, d = 3.058 Å, rel. 9
- 32.3 deg, d = 2.773 Å, rel. 100
- 33.4 deg, d = 2.682 Å, rel. 18
- 38.3 deg, d = 2.352 Å, rel. 17
- 40.4 deg, d = 2.234 Å, rel. 15
- 51.7 deg, d = 1.768 Å, rel. 11
- 53.4 deg, d = 1.717 Å, rel. 10
- 56.8 deg, d = 1.620 Å, rel. 11
- 59.0 deg, d = 1.566 Å, rel. 9
- 65.4 deg, d = 1.426 Å, rel. 15
- 67.6 deg, d = 1.387 Å, rel. 10
- 68.3 deg, d = 1.373 Å, rel. 12

---

Q: What is the formula in the first record?
A: Pm5SnPb2